(1)
# MnCu
Computed powder X-ray diffraction pattern, CuKα. Input: a structure optimized by DFT (GGA-PBE).
Intensities are scaled so that the largest is 1000.

Structural model:
Lattice parameters (Å, degrees): 4.934 4.934 4.520 116.05 116.05 30.87
Atoms (fractional coordinates):
Mn 0.127 0.127 0.458
Mn 0.873 0.873 0.542
Cu 0.374 0.374 0.042
Cu 0.626 0.626 0.958

Main lines, by intensity (2θ from 10° to 90°):
2θ 45.1, I = 1000
2θ 45.5, I = 673
2θ 42.7, I = 528
2θ 39.7, I = 315
2θ 45.9, I = 301
2θ 72.3, I = 193
2θ 39.9, I = 176
2θ 86.9, I = 115
2θ 87.4, I = 113
2θ 80.5, I = 113
2θ 88.7, I = 109
2θ 79.6, I = 103

***

(2)
# Pm2SmI5
Computed powder X-ray diffraction pattern, CuKα. Input: a structure optimized by DFT (GGA-PBE).
Intensities are scaled so that the largest is 1000.

Structural model:
Lattice parameters (Å, degrees): 13.551 14.058 7.581 90.00 90.00 90.00
Atoms (fractional coordinates):
Pm 0.000 0.000 0.248
Pm 0.000 0.000 0.752
Pm 0.101 0.397 0.500
Pm 0.399 0.897 0.000
Pm 0.500 0.500 0.252
Pm 0.500 0.500 0.748
Pm 0.601 0.103 0.000
Pm 0.899 0.603 0.500
Sm 0.218 0.303 0.000
Sm 0.282 0.803 0.500
Sm 0.718 0.197 0.500
Sm 0.782 0.697 0.000
I 0.065 0.221 0.253
I 0.065 0.221 0.747
I 0.139 0.622 0.500
I 0.163 0.901 0.000
I 0.191 0.001 0.500
I 0.309 0.501 0.000
I 0.337 0.401 0.500
I 0.361 0.122 0.000
I 0.435 0.721 0.247
I 0.435 0.721 0.753
I 0.565 0.279 0.247
I 0.565 0.279 0.753
I 0.639 0.878 0.000
I 0.663 0.599 0.500
I 0.691 0.499 0.000
I 0.809 0.999 0.500
I 0.837 0.099 0.000
I 0.861 0.378 0.500
I 0.935 0.779 0.253
I 0.935 0.779 0.747

Main lines, by intensity (2θ from 10° to 90°):
2θ 27.0, I = 1000
2θ 34.0, I = 660
2θ 40.6, I = 474
2θ 25.2, I = 440
2θ 34.8, I = 409
2θ 32.5, I = 383
2θ 29.6, I = 370
2θ 14.5, I = 358
2θ 13.4, I = 350
2θ 48.0, I = 342
2θ 37.3, I = 336
2θ 31.6, I = 314

***

(3)
# LiPa4S7
Computed powder X-ray diffraction pattern, CuKα. Input: a structure optimized by DFT (GGA-PBE).
Intensities are scaled so that the largest is 1000.

Structural model:
Lattice parameters (Å, degrees): 3.943 3.943 22.622 90.00 90.00 120.00
Atoms (fractional coordinates):
Li 0.000 0.000 0.000
Pa 0.333 0.667 0.139
Pa 0.333 0.667 0.432
Pa 0.667 0.333 0.568
Pa 0.667 0.333 0.861
S 0.000 0.000 0.203
S 0.000 0.000 0.500
S 0.000 0.000 0.797
S 0.333 0.667 0.634
S 0.333 0.667 0.933
S 0.667 0.333 0.067
S 0.667 0.333 0.366

Main lines, by intensity (2θ from 10° to 90°):
2θ 30.6, I = 1000
2θ 11.7, I = 886
2θ 35.5, I = 612
2θ 28.7, I = 611
2θ 26.4, I = 475
2θ 46.0, I = 446
2θ 15.7, I = 417
2θ 48.3, I = 393
2θ 26.1, I = 265
2θ 38.3, I = 257
2θ 54.5, I = 212
2θ 27.6, I = 204

***

(4)
# Cs2KSbCl6
Computed powder X-ray diffraction pattern, CuKα. Input: a structure optimized by DFT (GGA-PBE).
Intensities are scaled so that the largest is 1000.

Structural model:
Lattice parameters (Å, degrees): 8.050 8.050 8.050 60.00 60.00 60.00
Atoms (fractional coordinates):
Cs 0.250 0.250 0.250
Cs 0.750 0.750 0.750
K 0.000 0.000 0.000
Sb 0.500 0.500 0.500
Cl 0.266 0.266 0.734
Cl 0.266 0.734 0.266
Cl 0.266 0.734 0.734
Cl 0.734 0.266 0.266
Cl 0.734 0.266 0.734
Cl 0.734 0.734 0.266

Main lines, by intensity (2θ from 10° to 90°):
2θ 22.1, I = 1000
2θ 31.4, I = 671
2θ 45.0, I = 455
2θ 38.8, I = 454
2θ 27.1, I = 326
2θ 60.9, I = 256
2θ 50.7, I = 228
2θ 74.6, I = 185
2θ 13.5, I = 175
2θ 56.0, I = 151
2θ 87.4, I = 143
2θ 83.1, I = 138

***

(5)
# Li8Sm7Ge10
Computed powder X-ray diffraction pattern, CuKα. Input: a structure optimized by DFT (GGA-PBE).
Intensities are scaled so that the largest is 1000.

Structural model:
Lattice parameters (Å, degrees): 16.953 16.953 4.394 90.00 90.00 156.67
Atoms (fractional coordinates):
Li 0.045 0.331 0.000
Li 0.234 0.385 0.500
Li 0.331 0.045 0.000
Li 0.385 0.234 0.500
Li 0.615 0.766 0.500
Li 0.669 0.955 0.000
Li 0.766 0.615 0.500
Li 0.955 0.669 0.000
Sm 0.057 0.943 0.000
Sm 0.221 0.779 0.500
Sm 0.339 0.661 0.500
Sm 0.500 0.500 0.000
Sm 0.661 0.339 0.500
Sm 0.779 0.221 0.500
Sm 0.943 0.057 0.000
Ge 0.101 0.530 0.000
Ge 0.126 0.874 0.500
Ge 0.187 0.187 0.500
Ge 0.406 0.594 0.000
Ge 0.470 0.899 0.000
Ge 0.530 0.101 0.000
Ge 0.594 0.406 0.000
Ge 0.813 0.813 0.500
Ge 0.874 0.126 0.500
Ge 0.899 0.470 0.000

Main lines, by intensity (2θ from 10° to 90°):
2θ 34.3, I = 1000
2θ 33.6, I = 729
2θ 26.0, I = 271
2θ 41.1, I = 269
2θ 32.4, I = 199
2θ 44.0, I = 181
2θ 22.8, I = 179
2θ 10.7, I = 164
2θ 20.9, I = 147
2θ 25.9, I = 139
2θ 50.1, I = 137
2θ 77.4, I = 128

***

(6)
# Tb2Y3Ho7
Computed powder X-ray diffraction pattern, CuKα. Input: a structure optimized by DFT (GGA-PBE).
Intensities are scaled so that the largest is 1000.

Structural model:
Lattice parameters (Å, degrees): 6.303 3.509 17.347 90.00 96.15 90.00
Atoms (fractional coordinates):
Tb 0.060 0.000 0.173
Tb 0.940 0.000 0.827
Y 0.450 0.500 0.842
Y 0.500 0.000 0.500
Y 0.550 0.500 0.158
Ho 0.000 0.500 0.500
Ho 0.224 0.000 0.667
Ho 0.255 0.000 0.999
Ho 0.273 0.500 0.334
Ho 0.727 0.500 0.666
Ho 0.745 0.000 0.001
Ho 0.776 0.000 0.333

Main lines, by intensity (2θ from 10° to 90°):
2θ 31.5, I = 1000
2θ 31.1, I = 968
2θ 31.0, I = 836
2θ 35.0, I = 758
2θ 34.0, I = 641
2θ 29.9, I = 564
2θ 53.3, I = 396
2θ 50.6, I = 349
2θ 60.2, I = 346
2θ 62.0, I = 270
2θ 38.3, I = 264
2θ 61.9, I = 233

***

(7)
# PmYCu3
Computed powder X-ray diffraction pattern, CuKα. Input: a structure optimized by DFT (GGA-PBE).
Intensities are scaled so that the largest is 1000.

Structural model:
Lattice parameters (Å, degrees): 12.952 12.952 4.299 90.00 90.00 163.42
Atoms (fractional coordinates):
Pm 0.072 0.928 0.750
Pm 0.928 0.072 0.250
Y 0.204 0.796 0.250
Y 0.796 0.204 0.750
Cu 0.328 0.672 0.250
Cu 0.381 0.619 0.750
Cu 0.477 0.523 0.750
Cu 0.523 0.477 0.250
Cu 0.619 0.381 0.250
Cu 0.672 0.328 0.750

Main lines, by intensity (2θ from 10° to 90°):
2θ 33.5, I = 1000
2θ 34.3, I = 548
2θ 41.0, I = 449
2θ 42.0, I = 303
2θ 55.3, I = 270
2θ 36.4, I = 245
2θ 65.6, I = 212
2θ 48.8, I = 194
2θ 24.9, I = 157
2θ 66.3, I = 148
2θ 71.4, I = 105
2θ 27.8, I = 105

***

(8)
# Mn2C
Computed powder X-ray diffraction pattern, CuKα. Input: a structure optimized by DFT (GGA-PBE).
Intensities are scaled so that the largest is 1000.

Structural model:
Lattice parameters (Å, degrees): 4.550 4.550 4.628 90.00 90.00 146.90
Atoms (fractional coordinates):
Mn 0.029 0.971 0.500
Mn 0.286 0.714 0.312
Mn 0.714 0.286 0.812
Mn 0.971 0.029 0.000
C 0.385 0.615 0.714
C 0.615 0.385 0.214

Main lines, by intensity (2θ from 10° to 90°):
2θ 44.3, I = 1000
2θ 41.2, I = 846
2θ 47.0, I = 738
2θ 54.2, I = 586
2θ 46.0, I = 478
2θ 51.2, I = 350
2θ 41.4, I = 308
2θ 36.1, I = 250
2θ 89.5, I = 225
2θ 77.8, I = 204
2θ 67.8, I = 189
2θ 79.4, I = 162

***

(9)
# KHICl
Computed powder X-ray diffraction pattern, CuKα. Input: a structure optimized by DFT (GGA-PBE).
Intensities are scaled so that the largest is 1000.

Structural model:
Lattice parameters (Å, degrees): 4.999 4.664 6.828 90.00 102.72 90.00
Atoms (fractional coordinates):
K 0.000 0.000 0.000
H 0.827 0.500 0.474
I 0.551 0.500 0.156
Cl 0.017 0.500 0.650

Main lines, by intensity (2θ from 10° to 90°):
2θ 27.8, I = 1000
2θ 13.3, I = 956
2θ 31.5, I = 579
2θ 20.1, I = 531
2θ 33.1, I = 520
2θ 19.0, I = 498
2θ 26.4, I = 480
2θ 24.9, I = 393
2θ 26.8, I = 325
2θ 40.8, I = 303
2θ 45.4, I = 267
2θ 36.9, I = 222

***

(10)
# Pm3MgBi4
Computed powder X-ray diffraction pattern, CuKα. Input: a structure optimized by DFT (GGA-PBE).
Intensities are scaled so that the largest is 1000.

Structural model:
Lattice parameters (Å, degrees): 6.443 6.443 6.443 90.00 90.00 90.00
Atoms (fractional coordinates):
Pm 0.000 0.000 0.500
Pm 0.000 0.500 0.000
Pm 0.500 0.000 0.000
Mg 0.500 0.500 0.500
Bi 0.000 0.000 0.000
Bi 0.000 0.500 0.500
Bi 0.500 0.000 0.500
Bi 0.500 0.500 0.000

Main lines, by intensity (2θ from 10° to 90°):
2θ 27.7, I = 1000
2θ 39.6, I = 786
2θ 64.7, I = 378
2θ 49.0, I = 287
2θ 71.8, I = 281
2θ 23.9, I = 141
2θ 57.2, I = 136
2θ 85.2, I = 92
2θ 46.8, I = 80
2θ 13.7, I = 45
2θ 19.5, I = 41
2θ 62.9, I = 35

***

(11)
# U2InCl11
Computed powder X-ray diffraction pattern, CuKα. Input: a structure optimized by DFT (GGA-PBE).
Intensities are scaled so that the largest is 1000.

Structural model:
Lattice parameters (Å, degrees): 11.144 11.144 11.144 113.05 112.59 102.96
Atoms (fractional coordinates):
U 0.155 0.160 0.315
U 0.345 0.660 0.005
U 0.655 0.340 0.995
U 0.845 0.840 0.685
In 0.250 0.750 0.500
In 0.750 0.250 0.500
Cl 0.000 0.000 0.000
Cl 0.076 0.865 0.684
Cl 0.114 0.430 0.802
Cl 0.128 0.930 0.316
Cl 0.181 0.391 0.316
Cl 0.205 0.801 0.006
Cl 0.295 0.301 0.596
Cl 0.319 0.635 0.211
Cl 0.372 0.688 0.802
Cl 0.386 0.188 0.316
Cl 0.424 0.109 0.789
Cl 0.500 0.500 0.000
Cl 0.576 0.891 0.211
Cl 0.614 0.812 0.684
Cl 0.628 0.312 0.198
Cl 0.681 0.365 0.789
Cl 0.705 0.699 0.404
Cl 0.795 0.199 0.994
Cl 0.819 0.609 0.684
Cl 0.872 0.070 0.684
Cl 0.886 0.570 0.198
Cl 0.924 0.135 0.316

Main lines, by intensity (2θ from 10° to 90°):
2θ 17.3, I = 1000
2θ 16.3, I = 387
2θ 12.8, I = 347
2θ 33.4, I = 302
2θ 19.3, I = 297
2θ 33.0, I = 186
2θ 34.6, I = 182
2θ 25.1, I = 173
2θ 51.8, I = 114
2θ 47.7, I = 106
2θ 50.4, I = 104
2θ 22.8, I = 101

***

(12)
# AlPb
Computed powder X-ray diffraction pattern, CuKα. Input: a structure optimized by DFT (GGA-PBE).
Intensities are scaled so that the largest is 1000.

Structural model:
Lattice parameters (Å, degrees): 6.315 6.315 6.315 42.94 42.94 42.94
Atoms (fractional coordinates):
Al 0.180 0.180 0.180
Al 0.820 0.820 0.820
Pb 0.392 0.392 0.392
Pb 0.608 0.608 0.608

Main lines, by intensity (2θ from 10° to 90°):
2θ 22.8, I = 1000
2θ 30.5, I = 826
2θ 34.4, I = 809
2θ 39.0, I = 640
2θ 63.2, I = 289
2θ 52.9, I = 242
2θ 67.7, I = 236
2θ 50.3, I = 212
2θ 65.4, I = 197
2θ 45.6, I = 170
2θ 61.5, I = 142
2θ 15.5, I = 140

***

(13)
# MgIn3Hg5
Computed powder X-ray diffraction pattern, CuKα. Input: a structure optimized by DFT (GGA-PBE).
Intensities are scaled so that the largest is 1000.

Structural model:
Lattice parameters (Å, degrees): 9.939 9.939 9.939 135.12 135.12 65.34
Atoms (fractional coordinates):
Mg 0.250 0.750 0.500
Mg 0.750 0.250 0.500
In 0.135 0.635 0.769
In 0.250 0.250 0.000
In 0.365 0.135 0.500
In 0.635 0.865 0.500
In 0.750 0.750 0.000
In 0.865 0.365 0.231
Hg 0.000 0.000 0.000
Hg 0.060 0.154 0.500
Hg 0.154 0.654 0.094
Hg 0.346 0.440 0.500
Hg 0.440 0.940 0.094
Hg 0.500 0.500 0.000
Hg 0.560 0.060 0.906
Hg 0.654 0.560 0.500
Hg 0.846 0.346 0.906
Hg 0.940 0.846 0.500

Main lines, by intensity (2θ from 10° to 90°):
2θ 31.8, I = 1000
2θ 30.8, I = 805
2θ 33.4, I = 426
2θ 52.4, I = 279
2θ 37.5, I = 278
2θ 43.3, I = 249
2θ 32.1, I = 181
2θ 23.4, I = 154
2θ 58.7, I = 151
2θ 63.8, I = 150
2θ 88.4, I = 121
2θ 58.5, I = 119